No. 1
For LaSnTeAuS2, DFT lattice parameters and positions (PBE) gives the theoretical PXRD pattern in this record (Cu Ka).
Kinematic intensities with the Lorentz-polarization factor, no thermal factor.

Structure:
```
data_LaSnTeAuS2
_cell_length_a 4.152
_cell_length_b 13.916
_cell_length_c 11.534
_cell_angle_alpha 90.00
_cell_angle_beta 90.00
_cell_angle_gamma 90.00
_space_group_name_H-M_alt 'C m c m'
_space_group_IT_number 63
_space_group_name_Hall '-C 2c 2'
loop_
_atom_site_label
_atom_site_fract_x
_atom_site_fract_y
_atom_site_fract_z
La1 0.000 0.000 0.000
Sn1 0.000 0.199 0.250
Te1 0.000 0.116 0.750
Au1 0.000 0.481 0.750
S1 0.000 0.369 0.576
```

Largest 10 diffraction maxima, in order of rising 2θ, 15° ≤ 2θ ≤ 90°:
2θ/deg	I/Imax	(hkl)
15.4	38	0 0 2
27.2	18	1 1 2
29.9	31	1 3 1
31.0	33	0 0 4
32.9	100	1 3 2
42.1	17	1 5 2
43.6	17	2 0 0
45.7	17	0 6 3
54.5	14	2 0 4
56.3	16	1 3 6

No. 2
For NdSmIBr2N, DFT lattice parameters and positions (PBE) gives the theoretical PXRD pattern in this record (Cu Ka).
Kinematic intensities with the Lorentz-polarization factor, no thermal factor.

Structure:
```
data_NdSmIBr2N
_cell_length_a 18.461
_cell_length_b 4.069
_cell_length_c 11.973
_cell_angle_alpha 90.00
_cell_angle_beta 122.62
_cell_angle_gamma 90.00
_space_group_name_H-M_alt 'C 1 2/m 1'
_space_group_IT_number 12
loop_
_space_group_symop_operation_xyz
'x,y,z'
'-x,-y,-z'
'-x,y,-z'
'x,-y,z'
'x+1/2,y+1/2,z'
'-x+1/2,-y+1/2,-z'
'-x+1/2,y+1/2,-z'
'x+1/2,-y+1/2,z'
loop_
_atom_site_label
_atom_site_fract_x
_atom_site_fract_y
_atom_site_fract_z
Nd1 0.132 0.000 0.276
Sm1 0.076 0.500 0.958
I1 0.159 0.500 0.515
Br1 0.043 0.000 0.757
Br2 0.212 0.000 0.110
N1 0.072 0.500 0.147
```

Largest 10 diffraction maxima, in order of rising 2θ, 15° ≤ 2θ ≤ 90°:
2θ/deg	I/Imax	(hkl)
25.4	31	1 1 1
26.8	48	1 1 -2
30.1	35	4 0 -4
30.7	100	6 0 -1
32.8	20	5 1 -2
34.6	21	5 1 -3
37.3	19	3 1 -4
41.1	58	7 1 -3
44.5	24	0 2 0
54.7	17	4 2 -4

No. 3
For NbH, DFT lattice parameters and positions (PBE) gives the theoretical PXRD pattern in this record (Cu Ka).
Kinematic intensities with the Lorentz-polarization factor, no thermal factor.

Structure:
```
data_NbH
_cell_length_a 3.482
_cell_length_b 4.843
_cell_length_c 4.933
_cell_angle_alpha 90.00
_cell_angle_beta 90.00
_cell_angle_gamma 90.00
_space_group_name_H-M_alt 'C c c m'
_space_group_IT_number 66
_space_group_name_Hall '-C 2 2c'
loop_
_atom_site_label
_atom_site_fract_x
_atom_site_fract_y
_atom_site_fract_z
Nb1 0.250 0.250 0.000
H1 0.000 0.000 0.250
```

Largest 10 diffraction maxima, in order of rising 2θ, 15° ≤ 2θ ≤ 90°:
2θ/deg	I/Imax	(hkl)
36.4	25	0 0 2
36.6	100	1 1 1
37.1	23	0 2 0
52.6	8	2 0 0
53.0	17	0 2 2
65.7	26	2 0 2
66.1	9	2 2 0
66.6	17	1 3 1
77.9	10	2 2 2
89.0	8	3 1 1

No. 4
For YLu6Cu2Te2, DFT lattice parameters and positions (PBE) gives the theoretical PXRD pattern in this record (Cu Ka).
Kinematic intensities with the Lorentz-polarization factor, no thermal factor.

Structure:
```
data_YLu6Cu2Te2
_cell_length_a 3.915
_cell_length_b 15.094
_cell_length_c 9.447
_cell_angle_alpha 90.00
_cell_angle_beta 90.00
_cell_angle_gamma 90.00
_space_group_name_H-M_alt 'I m m 2'
_space_group_IT_number 44
loop_
_space_group_symop_operation_xyz
'x,y,z'
'-x,-y,z'
'-x,y,z'
'x,-y,z'
'x+1/2,y+1/2,z+1/2'
'-x+1/2,-y+1/2,z+1/2'
'-x+1/2,y+1/2,z+1/2'
'x+1/2,-y+1/2,z+1/2'
loop_
_atom_site_label
_atom_site_fract_x
_atom_site_fract_y
_atom_site_fract_z
Y1 0.000 0.000 0.000
Lu1 0.000 0.131 0.418
Lu2 0.000 0.315 0.622
Lu3 0.000 0.354 0.265
Cu1 0.000 0.238 0.928
Te1 0.000 0.000 0.662
Te2 0.000 0.500 0.767
```

Largest 10 diffraction maxima, in order of rising 2θ, 15° ≤ 2θ ≤ 90°:
2θ/deg	I/Imax	(hkl)
24.6	26	1 0 1
28.9	35	1 3 0
30.2	56	1 1 2
33.6	77	0 3 3
34.3	100	1 4 1
34.7	65	1 3 2
38.6	21	1 2 3
46.4	31	2 0 0
52.2	23	0 8 2
58.5	32	2 3 3